Entry 1:
Starting from a PBE-relaxed structure, the PXRD pattern of CaMg6Sb was simulated for Cu Kα.

Structural model:
```
data_CaMg6Sb
_space_group_name_H-M_alt 'A m m 2'
_space_group_IT_number 38
_space_group_name_Hall 'A 2 -2'
_cell_length_a 5.416
_cell_length_b 6.292
_cell_length_c 11.658
_cell_angle_alpha 90.00
_cell_angle_beta 90.00
_cell_angle_gamma 90.00
loop_
_atom_site_label
_atom_site_type_symbol
_atom_site_fract_x
_atom_site_fract_y
_atom_site_fract_z
_atom_site_occupancy
Ca1 Ca 0.000 0.000 0.000 1
Mg1 Mg 0.000 0.249 0.248 1
Mg2 Mg 0.500 0.000 0.169 1
Mg3 Mg 0.500 0.000 0.666 1
Mg4 Mg 0.500 0.246 0.409 1
Sb1 Sb 0.000 0.000 0.495 1
```

Main lines, by angle (2θ = 10–80°):
Position (°2θ)  d/Å  intensity  (hkl)
15.20  5.829  32  0 0 2
16.01  5.537  30  0 1 1
16.37  5.416  29  1 0 0
22.41  3.968  30  1 0 2
22.97  3.872  24  1 1 1
32.34  2.769  31  0 2 2
33.08  2.708  42  2 0 0
34.96  2.566  56  1 0 4
36.45  2.465  100  1 2 2
61.31  1.512  22  3 2 2

Entry 2:
Starting from a PBE-relaxed structure, the PXRD pattern of HgBi3 was simulated for Cu Kα.

Structural model:
```
data_HgBi3
_space_group_name_H-M_alt 'P m -3 m'
_space_group_IT_number 221
_space_group_name_Hall '-P 4 2 3'
_cell_length_a 4.956
_cell_length_b 4.956
_cell_length_c 4.956
_cell_angle_alpha 90.00
_cell_angle_beta 90.00
_cell_angle_gamma 90.00
loop_
_atom_site_label
_atom_site_type_symbol
_atom_site_fract_x
_atom_site_fract_y
_atom_site_fract_z
_atom_site_occupancy
Hg1 Hg 0.000 0.000 0.000 1
Bi1 Bi 0.000 0.500 0.500 1
```

Main lines, by angle (2θ = 10–80°):
Position (°2θ)  d/Å  intensity  (hkl)
31.26  2.862  100  1 1 1
36.25  2.478  51  2 0 0
52.20  1.752  37  2 2 0
62.11  1.494  44  3 1 1
65.21  1.431  13  2 2 2
76.95  1.239  6  4 0 0

Entry 3:
Starting from a PBE-relaxed structure, the PXRD pattern of HgBrCl was simulated for Cu Kα.

Structural model:
```
data_HgBrCl
_space_group_name_H-M_alt 'P n m a'
_space_group_IT_number 62
_space_group_name_Hall '-P 2ac 2n'
_cell_length_a 13.468
_cell_length_b 6.920
_cell_length_c 4.662
_cell_angle_alpha 90.00
_cell_angle_beta 90.00
_cell_angle_gamma 90.00
loop_
_atom_site_label
_atom_site_type_symbol
_atom_site_fract_x
_atom_site_fract_y
_atom_site_fract_z
_atom_site_occupancy
Hg1 Hg 0.125 0.250 0.036 1
Br1 Br 0.233 0.750 0.862 1
Cl1 Cl 0.009 0.750 0.279 1
```

Main lines, by angle (2θ = 10–80°):
Position (°2θ)  d/Å  intensity  (hkl)
18.38  4.826  100  2 1 0
20.16  4.406  48  1 0 1
25.75  3.460  75  0 2 0
27.58  3.234  31  3 0 1
30.51  2.930  69  3 1 1
32.92  2.721  29  1 2 1
38.09  2.363  27  3 2 1
40.83  2.210  28  5 1 1
42.33  2.135  27  6 1 0
43.10  2.099  26  2 1 2

Entry 4:
Starting from a PBE-relaxed structure, the PXRD pattern of Hf2Al3Zn was simulated for Cu Kα.

Structural model:
```
data_Hf2Al3Zn
_space_group_name_H-M_alt 'R -3 m'
_space_group_IT_number 166
_space_group_name_Hall '-R 3 2"'
_cell_length_a 5.2924
_cell_length_b 5.2924
_cell_length_c 12.6712
_cell_angle_alpha 90.00
_cell_angle_beta 90.00
_cell_angle_gamma 120.00
loop_
_atom_site_label
_atom_site_type_symbol
_atom_site_fract_x
_atom_site_fract_y
_atom_site_fract_z
_atom_site_occupancy
Hf1 Hf 0.0000 0.0000 0.1249 1
Al1 Al 0.0000 0.5000 0.0000 1
Zn1 Zn 0.0000 0.0000 0.5000 1
```

Main lines, by angle (2θ = 10–80°):
Position (°2θ)  d/Å  intensity  (hkl)
20.61  4.310  48  1 0 1
21.03  4.224  38  0 0 3
33.87  2.646  100  1 1 0
34.41  2.606  57  1 0 4
39.98  2.255  27  0 2 1
40.21  2.242  96  1 1 3
40.68  2.218  47  0 1 5
60.96  1.520  23  2 1 4
64.90  1.437  23  3 0 3
65.24  1.430  23  1 2 5

Entry 5:
Starting from a PBE-relaxed structure, the PXRD pattern of Tb3AlC was simulated for Cu Kα.

Structural model:
```
data_Tb3AlC
_space_group_name_H-M_alt 'P m -3 m'
_space_group_IT_number 221
_space_group_name_Hall '-P 4 2 3'
_cell_length_a 4.916
_cell_length_b 4.916
_cell_length_c 4.916
_cell_angle_alpha 90.00
_cell_angle_beta 90.00
_cell_angle_gamma 90.00
loop_
_atom_site_label
_atom_site_type_symbol
_atom_site_fract_x
_atom_site_fract_y
_atom_site_fract_z
_atom_site_occupancy
Tb1 Tb 0.000 0.000 0.500 1
Al1 Al 0.500 0.500 0.500 1
C1 C 0.000 0.000 0.000 1
```

Main lines, by angle (2θ = 10–80°):
Position (°2θ)  d/Å  intensity  (hkl)
18.05  4.916  25  1 0 0
25.63  3.476  15  1 1 0
31.52  2.838  100  1 1 1
36.56  2.458  55  2 0 0
41.06  2.198  12  2 1 0
45.18  2.007  7  2 1 1
52.67  1.738  38  2 2 0
62.69  1.482  43  3 1 1
65.82  1.419  13  2 2 2
77.71  1.229  6  4 0 0

Entry 6:
Starting from a PBE-relaxed structure, the PXRD pattern of CeMg14Bi was simulated for Cu Kα.

Structural model:
```
data_CeMg14Bi
_space_group_name_H-M_alt 'P -6 m 2'
_space_group_IT_number 187
_space_group_name_Hall 'P -6 2'
_cell_length_a 6.5533
_cell_length_b 6.5533
_cell_length_c 10.7843
_cell_angle_alpha 90.00
_cell_angle_beta 90.00
_cell_angle_gamma 120.00
loop_
_atom_site_label
_atom_site_type_symbol
_atom_site_fract_x
_atom_site_fract_y
_atom_site_fract_z
_atom_site_occupancy
Ce1 Ce 0.0000 0.0000 0.0000 1
Mg1 Mg 0.0087 0.5043 0.0000 1
Mg2 Mg 0.1675 0.3350 0.2498 1
Mg3 Mg 0.5018 0.0037 0.5000 1
Mg4 Mg 0.6667 0.3333 0.2428 1
Bi1 Bi 0.0000 0.0000 0.5000 1
```

Main lines, by angle (2θ = 10–80°):
Position (°2θ)  d/Å  intensity  (hkl)
15.61  5.675  79  1 0 0
16.44  5.392  24  0 0 2
22.75  3.909  68  1 0 2
27.22  3.277  22  1 1 0
31.53  2.838  34  2 0 0
31.96  2.800  29  1 1 2
33.23  2.696  26  0 0 4
35.76  2.511  100  2 0 2
45.51  1.993  22  2 1 2
46.46  1.955  23  2 0 4

Entry 7:
Starting from a PBE-relaxed structure, the PXRD pattern of PaP2 was simulated for Cu Kα.

Structural model:
```
data_PaP2
_space_group_name_H-M_alt 'P 4/n m m'
_space_group_IT_number 129
_cell_length_a 3.864
_cell_length_b 3.864
_cell_length_c 7.858
_cell_angle_alpha 90.00
_cell_angle_beta 90.00
_cell_angle_gamma 90.00
loop_
_space_group_symop_operation_xyz
'x,y,z'
'-x,-y,-z'
'-y+1/2,x,z'
'y+1/2,-x,-z'
'-x+1/2,-y+1/2,z'
'x+1/2,y+1/2,-z'
'y,-x+1/2,z'
'-y,x+1/2,-z'
'x+1/2,-y,-z'
'-x+1/2,y,z'
'-y,-x,-z'
'y,x,z'
'-x,y+1/2,-z'
'x,-y+1/2,z'
'y+1/2,x+1/2,-z'
'-y+1/2,-x+1/2,z'
loop_
_atom_site_label
_atom_site_type_symbol
_atom_site_fract_x
_atom_site_fract_y
_atom_site_fract_z
_atom_site_occupancy
Pa1 Pa 0.250 0.250 0.221 1
P1 P 0.250 0.250 0.860 1
P2 P 0.250 0.750 0.500 1
```

Main lines, by angle (2θ = 10–80°):
Position (°2θ)  d/Å  intensity  (hkl)
22.63  3.929  30  0 0 2
25.69  3.467  100  1 0 1
32.78  2.732  36  1 1 0
34.76  2.581  10  1 1 1
40.20  2.243  49  1 1 2
41.66  2.168  31  1 0 3
47.04  1.932  21  2 0 0
52.80  1.734  13  2 0 2
54.36  1.688  28  2 1 1
64.62  1.442  18  2 1 3